[1]
Calculated powder X-ray diffraction pattern
Compound: KSe2
Radiation: λ = 1.5418 Å (Cu Kα)
Structure: DFT lattice parameters and positions (GGA-PBE)

Top 10 peaks for 10 to 90 degrees two-theta, by intensity:
2θ (°), d [Å], intensity
27.6, 3.231, 1000
18.5, 4.801, 749
30.0, 2.981, 402
34.5, 2.599, 383
31.2, 2.865, 235
37.5, 2.401, 233
15.3, 5.787, 199
13.7, 6.464, 183
30.9, 2.894, 152
29.1, 3.066, 151

Structure:
```
6
Lattice="5.3340 0.0000 0.0000 2.4161 5.9002 0.0000 1.4036 1.2831 6.4640" Properties=species:S:1:pos:R:3 pbc="T T T"
K 0.0000 0.0000 0.0000
K 3.4333 3.0948 3.2258
Se 2.3996 2.5776 0.0262
Se 6.1964 5.3616 4.3401
Se 5.4706 3.3553 0.1655
Se 8.0664 6.4181 3.3401
```



[2]
Calculated powder X-ray diffraction pattern
Compound: K3SiSe3
Radiation: λ = 1.5418 Å (Cu Kα)
Structure: DFT lattice parameters and positions (GGA-PBE)

Top 10 peaks for 10 to 90 degrees two-theta, by intensity:
2θ (°), d [Å], intensity
28.4, 3.144, 1000
34.3, 2.612, 920
37.9, 2.373, 831
32.2, 2.780, 646
29.9, 2.989, 593
23.1, 3.851, 591
14.8, 5.978, 517
55.6, 1.652, 477
33.7, 2.662, 470
30.4, 2.936, 417

Structure:
```
28
Lattice="13.1780 0.0000 0.0000 0.0000 4.7464 0.0000 0.0000 0.0000 14.2149" Properties=species:S:1:pos:R:3 pbc="T T T"
K 1.0601 1.1866 1.4361
K 1.7304 3.5598 6.8586
K 3.0692 3.5598 11.2132
K 3.5198 1.1866 4.1058
K 4.8586 1.1866 13.9661
K 5.5289 3.5598 8.5435
K 7.6491 1.1866 5.6714
K 8.3194 3.5598 0.2488
K 9.6582 3.5598 10.1091
K 10.1088 1.1866 3.0017
K 11.4475 1.1866 7.3562
K 12.1179 3.5598 12.7788
Si 0.7628 1.1866 9.9964
Si 5.8262 3.5598 2.8890
Si 7.3518 1.1866 11.3259
Si 12.4152 3.5598 4.2185
Se 0.1750 1.1866 4.6692
Se 1.1993 1.1866 12.3088
Se 2.8345 1.1866 8.8806
Se 3.7545 3.5598 1.7732
Se 5.3897 3.5598 5.2014
Se 6.4139 3.5598 11.7766
Se 6.7640 1.1866 2.4382
Se 7.7883 1.1866 9.0134
Se 9.4235 1.1866 12.4417
Se 10.3435 3.5598 5.3342
Se 11.9787 3.5598 1.9060
Se 13.0029 3.5598 9.5457
```



[3]
Calculated powder X-ray diffraction pattern
Compound: K3Sm2SnSe6
Radiation: λ = 1.5418 Å (Cu Kα)
Structure: DFT lattice parameters and positions (GGA-PBE)

Top 10 peaks for 10 to 90 degrees two-theta, by intensity:
2θ (°), d [Å], intensity
28.6, 3.120, 1000
11.5, 7.691, 485
42.2, 2.142, 363
39.6, 2.277, 341
51.8, 1.766, 186
36.5, 2.464, 180
68.9, 1.362, 156
43.9, 2.063, 118
65.2, 1.431, 110
49.9, 1.826, 107

Structure:
```
12
Lattice="3.7097 -6.4255 0.0000 3.7097 6.4255 0.0000 -2.4706 0.0000 7.6912" Properties=species:S:1:pos:R:3 pbc="T T T"
K 0.0000 0.0000 0.0000
K 3.7097 2.1332 0.0000
K 3.7097 -2.1332 0.0000
Sm 2.4744 4.2831 3.8456
Sm 2.4744 -4.2831 3.8456
Sn 2.4744 0.0000 3.8456
Se 1.2509 2.1183 2.2531
Se 0.0281 0.0000 5.4358
Se 1.2509 -2.1183 2.2531
Se 3.6979 2.1183 5.4381
Se 4.9206 0.0000 2.2554
Se 3.6979 -2.1183 5.4381
```



Q: What is the formula in the third record?
A: K3Sm2SnSe6